(1)
Diffraction record for DyBi2BrO4. The X-ray powder pattern is calculated, not measured: it uses the PBE geometry in the Materials Project and copper Kα.
Lines closer than 0.1° are merged.

The 8 most intense peaks (2θ from 5° to 70°), most intense first:
(1 0 2), 2θ = 29.81°, I 1000
(2 1 2), 2θ = 56.12°, I 346
(1 1 0), 2θ = 32.34°, I 337
(1 1 4), 2θ = 51.26°, I 235
(2 0 0), 2θ = 46.39°, I 186
(2 0 4), 2θ = 61.92°, I 100
(0 0 4), 2θ = 38.66°, I 94
(1 0 6), 2θ = 64.57°, I 84

```
data_DyBi2BrO4
_symmetry_space_group_name_H-M 'P 4/m m m'
_symmetry_Int_Tables_number 123
_symmetry_space_group_name_Hall '-P 4 2'
_cell_length_a 3.915
_cell_length_b 3.915
_cell_length_c 9.316
_cell_angle_alpha 90.00
_cell_angle_beta 90.00
_cell_angle_gamma 90.00
loop_
_atom_site_label
_atom_site_fract_x
_atom_site_fract_y
_atom_site_fract_z
Dy1 0.000 0.000 0.000
Bi1 0.500 0.500 0.269
Br1 0.000 0.000 0.500
O1 0.000 0.500 0.149
```

---

(2)
Diffraction record for Ho7Te2Au2. The X-ray powder pattern is calculated, not measured: it uses the PBE geometry in the Materials Project and copper Kα.
Lines closer than 0.1° are merged.

The 8 most intense peaks (2θ from 5° to 70°), most intense first:
(0 0 6), 2θ = 32.35°, I 1000
(3 1 3), 2θ = 33.43°, I 813
(5 1 0), 2θ = 33.86°, I 675
(1 1 -4), 2θ = 30.61°, I 620
(0 2 0), 2θ = 45.38°, I 579
(3 1 -5), 2θ = 35.57°, I 477
(5 1 -2), 2θ = 33.58°, I 428
(3 1 -3), 2θ = 29.48°, I 405

```
data_Ho7Te2Au2
_symmetry_space_group_name_H-M 'C 1 2/m 1'
_symmetry_Int_Tables_number 12
_symmetry_space_group_name_Hall '-C 2y'
_cell_length_a 18.228
_cell_length_b 3.997
_cell_length_c 17.128
_cell_angle_alpha 90.00
_cell_angle_beta 104.26
_cell_angle_gamma 90.00
loop_
_atom_site_label
_atom_site_fract_x
_atom_site_fract_y
_atom_site_fract_z
Ho1 0.000 0.000 0.000
Ho2 0.000 0.500 0.500
Ho3 0.001 0.000 0.333
Ho4 0.074 0.500 0.171
Ho5 0.162 0.500 0.981
Ho6 0.175 0.000 0.532
Ho7 0.191 0.000 0.320
Ho8 0.219 0.000 0.805
Te1 0.065 0.000 0.850
Te2 0.134 0.500 0.662
Au1 0.119 0.500 0.400
Au2 0.170 0.000 0.111
```

---

(3)
Diffraction record for NaZnAs. The X-ray powder pattern is calculated, not measured: it uses the PBE geometry in the Materials Project and copper Kα.
Lines closer than 0.1° are merged.

The 8 most intense peaks (2θ from 5° to 70°), most intense first:
(1 1 2), 2θ = 39.48°, I 1000
(0 0 1), 2θ = 12.37°, I 996
(2 0 0), 2θ = 43.15°, I 517
(1 0 1), 2θ = 24.61°, I 492
(1 1 1), 2θ = 32.70°, I 374
(1 0 2), 2θ = 32.91°, I 218
(1 1 3), 2θ = 49.02°, I 205
(1 0 3), 2θ = 43.67°, I 170

```
data_NaZnAs
_symmetry_space_group_name_H-M 'P 4/n m m'
_symmetry_Int_Tables_number 129
_cell_length_a 4.193
_cell_length_b 4.193
_cell_length_c 7.154
_cell_angle_alpha 90.00
_cell_angle_beta 90.00
_cell_angle_gamma 90.00
loop_
_symmetry_equiv_pos_as_xyz
'x,y,z'
'-x,-y,-z'
'-y+1/2,x,z'
'y+1/2,-x,-z'
'-x+1/2,-y+1/2,z'
'x+1/2,y+1/2,-z'
'y,-x+1/2,z'
'-y,x+1/2,-z'
'x+1/2,-y,-z'
'-x+1/2,y,z'
'-y,-x,-z'
'y,x,z'
'-x,y+1/2,-z'
'x,-y+1/2,z'
'y+1/2,x+1/2,-z'
'-y+1/2,-x+1/2,z'
loop_
_atom_site_label
_atom_site_fract_x
_atom_site_fract_y
_atom_site_fract_z
Na1 0.250 0.250 0.149
Zn1 0.250 0.750 0.500
As1 0.250 0.250 0.717
```

---

(4)
Diffraction record for K3Tc. The X-ray powder pattern is calculated, not measured: it uses the PBE geometry in the Materials Project and copper Kα.
Lines closer than 0.1° are merged.

The 8 most intense peaks (2θ from 5° to 70°), most intense first:
(1 1 2), 2θ = 27.34°, I 1000
(2 0 0), 2θ = 31.06°, I 353
(3 1 2), 2θ = 53.01°, I 278
(2 0 4), 2θ = 45.85°, I 221
(1 0 1), 2θ = 17.42°, I 202
(0 0 4), 2θ = 32.87°, I 150
(2 2 0), 2θ = 44.49°, I 141
(1 1 6), 2θ = 55.38°, I 121

```
data_K3Tc
_symmetry_space_group_name_H-M 'I 4/m m m'
_symmetry_Int_Tables_number 139
_symmetry_space_group_name_Hall '-I 4 2'
_cell_length_a 5.759
_cell_length_b 5.759
_cell_length_c 10.899
_cell_angle_alpha 90.00
_cell_angle_beta 90.00
_cell_angle_gamma 90.00
loop_
_atom_site_label
_atom_site_fract_x
_atom_site_fract_y
_atom_site_fract_z
K1 0.000 0.000 0.000
K2 0.000 0.500 0.250
Tc1 0.000 0.000 0.500
```

---

(5)
Diffraction record for KB3SeO7. The X-ray powder pattern is calculated, not measured: it uses the PBE geometry in the Materials Project and copper Kα.
Lines closer than 0.1° are merged.

The 8 most intense peaks (2θ from 5° to 70°), most intense first:
(0 2 0), 2θ = 9.90°, I 1000
(1 3 -1), 2θ = 25.56°, I 721
(1 2 0), 2θ = 21.54°, I 424
(0 2 2), 2θ = 22.66°, I 362
(0 0 2), 2θ = 20.33°, I 318
(0 2 1), 2θ = 14.18°, I 286
(0 4 2), 2θ = 28.59°, I 260
(1 1 -1), 2θ = 21.26°, I 257

```
data_KB3SeO7
_symmetry_space_group_name_H-M 'P 1 21/c 1'
_symmetry_Int_Tables_number 14
_symmetry_space_group_name_Hall '-P 2ybc'
_cell_length_a 4.677
_cell_length_b 17.864
_cell_length_c 8.784
_cell_angle_alpha 90.00
_cell_angle_beta 96.05
_cell_angle_gamma 90.00
loop_
_atom_site_label
_atom_site_fract_x
_atom_site_fract_y
_atom_site_fract_z
K1 0.179 0.104 0.437
B1 0.028 0.689 0.504
B2 0.030 0.737 0.761
B3 0.207 0.608 0.724
Se1 0.300 0.015 0.813
O1 0.018 0.201 0.152
O2 0.039 0.246 0.897
O3 0.051 0.540 0.773
O4 0.130 0.622 0.559
O5 0.144 0.672 0.820
O6 0.360 0.555 0.199
O7 0.480 0.094 0.738
```

---

(6)
Diffraction record for Fe3Ni3Ge2. The X-ray powder pattern is calculated, not measured: it uses the PBE geometry in the Materials Project and copper Kα.
Lines closer than 0.1° are merged.

The 3 most intense peaks (2θ from 5° to 70°), most intense first:
(1 1 0), 2θ = 44.76°, I 1000
(2 0 8), 2θ = 65.16°, I 151
(1 0 4), 2θ = 31.24°, I 7

```
data_Fe3Ni3Ge2
_symmetry_space_group_name_H-M 'R 3 m'
_symmetry_Int_Tables_number 160
_symmetry_space_group_name_Hall 'R 3 -2"'
_cell_length_a 4.0488
_cell_length_b 4.0488
_cell_length_c 19.8460
_cell_angle_alpha 90.00
_cell_angle_beta 90.00
_cell_angle_gamma 120.00
loop_
_atom_site_label
_atom_site_fract_x
_atom_site_fract_y
_atom_site_fract_z
Fe1 0.0000 0.0000 0.0000
Fe2 0.0000 0.0000 0.2488
Fe3 0.0000 0.0000 0.7489
Ni1 0.0000 0.0000 0.3747
Ni2 0.0000 0.0000 0.4989
Ni3 0.0000 0.0000 0.8736
Ge1 0.0000 0.0000 0.1245
Ge2 0.0000 0.0000 0.6241
```

---

(7)
Diffraction record for TiGePd. The X-ray powder pattern is calculated, not measured: it uses the PBE geometry in the Materials Project and copper Kα.
Lines closer than 0.1° are merged.

The 8 most intense peaks (2θ from 5° to 70°), most intense first:
(0 1 3), 2θ = 42.58°, I 1000
(2 1 1), 2θ = 38.29°, I 995
(2 1 0), 2θ = 36.35°, I 969
(0 2 0), 2θ = 46.83°, I 710
(1 1 2), 2θ = 35.90°, I 691
(1 1 3), 2θ = 44.98°, I 562
(1 0 1), 2θ = 18.09°, I 522
(3 0 2), 2θ = 48.88°, I 377

```
data_TiGePd
_symmetry_space_group_name_H-M 'P n m a'
_symmetry_Int_Tables_number 62
_symmetry_space_group_name_Hall '-P 2ac 2n'
_cell_length_a 6.411
_cell_length_b 3.880
_cell_length_c 7.609
_cell_angle_alpha 90.00
_cell_angle_beta 90.00
_cell_angle_gamma 90.00
loop_
_atom_site_label
_atom_site_fract_x
_atom_site_fract_y
_atom_site_fract_z
Ti1 0.035 0.250 0.183
Ge1 0.243 0.250 0.876
Pd1 0.144 0.250 0.561
```